The following is a theoretical powder diffractogram of KTm2RuO8. It was derived from a crystal structure in Alexandria, relaxed with GGA-PBE, using copper Kα.
Lines closer than 0.1° are merged.

Atomic structure:
```
data_KTm2RuO8
_chemical_formula_sum 'K1 Tm2 Ru1 O8'
_cell_length_a 4.046
_cell_length_b 5.284
_cell_length_c 7.068
_cell_angle_alpha 89.60
_cell_angle_beta 75.23
_cell_angle_gamma 89.07
_symmetry_space_group_name_H-M 'P -1'
_symmetry_Int_Tables_number 2
_symmetry_space_group_name_Hall '-P 1'
loop_
_atom_site_label
_atom_site_type_symbol
_atom_site_fract_x
_atom_site_fract_y
_atom_site_fract_z
K1 K 0.000 0.000 0.000
Tm1 Tm 0.384 0.522 0.288
Ru1 Ru 0.000 0.000 0.500
O1 O 0.182 0.494 0.004
O2 O 0.186 0.327 0.583
O3 O 0.212 0.789 0.642
O4 O 0.358 0.947 0.268
```

Most intense lines, 2θ = 5–70°, most intense first:
- 33.9 deg, intensity 100
- 31.2 deg, intensity 93
- 30.0 deg, intensity 81
- 13.0 deg, intensity 76
- 28.2 deg, intensity 72
- 16.8 deg, intensity 59
- 45.6 deg, intensity 52
- 28.6 deg, intensity 43

***

The following is a theoretical powder diffractogram of K2S2O5. It was derived from a crystal structure in Alexandria, relaxed with GGA-PBE, using copper Kα.
Lines closer than 0.1° are merged.

Atomic structure:
```
data_K2S2O5
_chemical_formula_sum 'K4 S4 O10'
_cell_length_a 6.950
_cell_length_b 7.582
_cell_length_c 7.261
_cell_angle_alpha 90.00
_cell_angle_beta 111.27
_cell_angle_gamma 90.00
_symmetry_space_group_name_H-M 'P 1 21/m 1'
_symmetry_Int_Tables_number 11
_symmetry_space_group_name_Hall '-P 2yb'
loop_
_atom_site_label
_atom_site_type_symbol
_atom_site_fract_x
_atom_site_fract_y
_atom_site_fract_z
K1 K 0.178 0.250 0.049
K2 K 0.209 0.750 0.504
S1 S 0.332 0.250 0.644
S2 S 0.354 0.750 0.089
O1 O 0.220 0.089 0.667
O2 O 0.251 0.589 0.131
O3 O 0.380 0.250 0.461
```

Most intense lines, 2θ = 5–70°, most intense first:
- 23.5 deg, intensity 100
- 27.5 deg, intensity 96
- 24.9 deg, intensity 90
- 17.6 deg, intensity 73
- 36.8 deg, intensity 64
- 44.4 deg, intensity 42
- 35.6 deg, intensity 36
- 28.4 deg, intensity 33

***

The following is a theoretical powder diffractogram of K3S2O8. It was derived from a crystal structure in Alexandria, relaxed with GGA-PBE, using copper Kα.
Lines closer than 0.1° are merged.

Atomic structure:
```
data_K3S2O8
_chemical_formula_sum 'K12 S8 O32'
_cell_length_a 14.884
_cell_length_b 5.862
_cell_length_c 9.849
_cell_angle_alpha 90.00
_cell_angle_beta 104.44
_cell_angle_gamma 90.00
_symmetry_space_group_name_H-M 'C 1 2/c 1'
_symmetry_Int_Tables_number 15
_symmetry_space_group_name_Hall '-C 2yc'
loop_
_atom_site_label
_atom_site_type_symbol
_atom_site_fract_x
_atom_site_fract_y
_atom_site_fract_z
K1 K 0.000 0.229 0.250
K2 K 0.186 0.275 0.652
S1 S 0.113 0.221 0.967
O1 O 0.009 0.188 0.937
O2 O 0.126 0.437 0.894
O3 O 0.152 0.240 0.120
O4 O 0.154 0.024 0.909
```

Most intense lines, 2θ = 5–70°, most intense first:
- 27.4 deg, intensity 100
- 31.2 deg, intensity 80
- 27.0 deg, intensity 59
- 30.5 deg, intensity 40
- 41.2 deg, intensity 34
- 42.8 deg, intensity 24
- 36.5 deg, intensity 19
- 37.4 deg, intensity 19

***

The following is a theoretical powder diffractogram of K2S2O5. It was derived from a crystal structure in Alexandria, relaxed with GGA-PBE, using copper Kα.
Lines closer than 0.1° are merged.

Atomic structure:
```
data_K2S2O5
_chemical_formula_sum 'K4 S4 O10'
_cell_length_a 7.161
_cell_length_b 6.229
_cell_length_c 7.727
_cell_angle_alpha 90.00
_cell_angle_beta 101.49
_cell_angle_gamma 90.00
_symmetry_space_group_name_H-M 'P 1 21/m 1'
_symmetry_Int_Tables_number 11
_symmetry_space_group_name_Hall '-P 2yb'
loop_
_atom_site_label
_atom_site_type_symbol
_atom_site_fract_x
_atom_site_fract_y
_atom_site_fract_z
K1 K 0.144 0.250 0.174
K2 K 0.285 0.750 0.572
S1 S 0.196 0.250 0.740
S2 S 0.472 0.750 0.182
O1 O 0.133 0.052 0.820
O2 O 0.141 0.250 0.543
O3 O 0.427 0.551 0.277
```

Most intense lines, 2θ = 5–70°, most intense first:
- 29.2 deg, intensity 100
- 28.3 deg, intensity 84
- 23.7 deg, intensity 62
- 23.5 deg, intensity 51
- 28.7 deg, intensity 41
- 38.5 deg, intensity 35
- 18.4 deg, intensity 29
- 38.9 deg, intensity 28

***

The following is a theoretical powder diffractogram of K3Sb7S3O9. It was derived from a crystal structure in Alexandria, relaxed with GGA-PBE, using copper Kα.
Lines closer than 0.1° are merged.

Atomic structure:
```
data_K3Sb7S3O9
_chemical_formula_sum 'K6 Sb14 S6 O18'
_cell_length_a 14.6429
_cell_length_b 14.6429
_cell_length_c 5.7274
_cell_angle_alpha 90.00
_cell_angle_beta 90.00
_cell_angle_gamma 120.00
_symmetry_space_group_name_H-M 'P 63'
_symmetry_Int_Tables_number 173
_symmetry_space_group_name_Hall 'P 6c'
loop_
_atom_site_label
_atom_site_type_symbol
_atom_site_fract_x
_atom_site_fract_y
_atom_site_fract_z
K1 K 0.0970 0.2935 0.0000
Sb1 Sb 0.0053 0.3943 0.5054
Sb2 Sb 0.1761 0.7286 0.4925
Sb3 Sb 0.3333 0.6667 0.9176
S1 S 0.1677 0.5364 0.1003
O1 O 0.0706 0.7093 0.7499
O2 O 0.0730 0.7188 0.2503
O3 O 0.1155 0.3473 0.5186
```

Most intense lines, 2θ = 5–70°, most intense first:
- 7.0 deg, intensity 100
- 29.8 deg, intensity 68
- 28.9 deg, intensity 38
- 24.2 deg, intensity 29
- 26.2 deg, intensity 25
- 31.2 deg, intensity 21
- 20.9 deg, intensity 19
- 32.3 deg, intensity 16

***

The following is a theoretical powder diffractogram of K2SeS2O6. It was derived from a crystal structure in Alexandria, relaxed with GGA-PBE, using copper Kα.
Lines closer than 0.1° are merged.

Atomic structure:
```
data_K2SeS2O6
_chemical_formula_sum 'K8 Se4 S8 O24'
_cell_length_a 9.896
_cell_length_b 6.031
_cell_length_c 15.908
_cell_angle_alpha 90.00
_cell_angle_beta 112.62
_cell_angle_gamma 90.00
_symmetry_space_group_name_H-M 'P 1 21/c 1'
_symmetry_Int_Tables_number 14
_symmetry_space_group_name_Hall '-P 2ybc'
loop_
_atom_site_label
_atom_site_type_symbol
_atom_site_fract_x
_atom_site_fract_y
_atom_site_fract_z
K1 K 0.054 0.220 0.179
K2 K 0.274 0.237 0.971
Se1 Se 0.370 0.669 0.710
S1 S 0.161 0.710 0.092
S2 S 0.302 0.741 0.831
O1 O 0.038 0.726 0.617
O2 O 0.172 0.668 0.515
O3 O 0.175 0.031 0.585
O4 O 0.203 0.558 0.831
O5 O 0.228 0.542 0.315
O6 O 0.443 0.736 0.908
```

Most intense lines, 2θ = 5–70°, most intense first:
- 23.7 deg, intensity 100
- 17.6 deg, intensity 91
- 26.9 deg, intensity 63
- 29.6 deg, intensity 50
- 19.1 deg, intensity 49
- 37.3 deg, intensity 34
- 36.0 deg, intensity 32
- 40.3 deg, intensity 30

***

The following is a theoretical powder diffractogram of K2SnS6O21. It was derived from a crystal structure in Alexandria, relaxed with GGA-PBE, using copper Kα.
Lines closer than 0.1° are merged.

Atomic structure:
```
data_K2SnS6O21
_chemical_formula_sum 'K4 Sn2 S12 O42'
_cell_length_a 10.0625
_cell_length_b 10.0625
_cell_length_c 11.0897
_cell_angle_alpha 90.00
_cell_angle_beta 90.00
_cell_angle_gamma 120.00
_symmetry_space_group_name_H-M 'P -3'
_symmetry_Int_Tables_number 147
_symmetry_space_group_name_Hall '-P 3'
loop_
_atom_site_label
_atom_site_type_symbol
_atom_site_fract_x
_atom_site_fract_y
_atom_site_fract_z
K1 K 0.3333 0.6667 0.3683
K2 K 0.3333 0.6667 0.9441
Sn1 Sn 0.0000 0.0000 0.2604
S1 S 0.0544 0.7193 0.1598
S2 S 0.1706 0.3559 0.6488
O1 O 0.0057 0.3367 0.7000
O2 O 0.0478 0.8661 0.1454
O3 O 0.0493 0.3950 0.9229
O4 O 0.0605 0.8719 0.6293
O5 O 0.1450 0.7152 0.7406
O6 O 0.1870 0.4280 0.5343
O7 O 0.2095 0.7489 0.1665
```

Most intense lines, 2θ = 5–70°, most intense first:
- 10.2 deg, intensity 100
- 26.0 deg, intensity 88
- 19.0 deg, intensity 66
- 31.6 deg, intensity 46
- 19.4 deg, intensity 45
- 16.0 deg, intensity 39
- 27.1 deg, intensity 35
- 40.7 deg, intensity 23

***

The following is a theoretical powder diffractogram of K3SrS2O8. It was derived from a crystal structure in Alexandria, relaxed with GGA-PBE, using copper Kα.
Lines closer than 0.1° are merged.

Atomic structure:
```
data_K3SrS2O8
_chemical_formula_sum 'K3 Sr1 S2 O8'
_cell_length_a 5.6525
_cell_length_b 5.6525
_cell_length_c 8.9108
_cell_angle_alpha 90.00
_cell_angle_beta 90.00
_cell_angle_gamma 120.00
_symmetry_space_group_name_H-M 'P -3 m 1'
_symmetry_Int_Tables_number 164
_symmetry_space_group_name_Hall '-P 3 2"'
loop_
_atom_site_label
_atom_site_type_symbol
_atom_site_fract_x
_atom_site_fract_y
_atom_site_fract_z
K1 K 0.0000 0.0000 0.0000
K2 K 0.3333 0.6667 0.7557
Sr1 Sr 0.0000 0.0000 0.5000
S1 S 0.3333 0.6667 0.2192
O1 O 0.1882 0.3764 0.2745
O2 O 0.3333 0.6667 0.0528
```

Most intense lines, 2θ = 5–70°, most intense first:
- 27.1 deg, intensity 100
- 31.7 deg, intensity 75
- 42.1 deg, intensity 45
- 20.7 deg, intensity 36
- 52.3 deg, intensity 24
- 40.5 deg, intensity 18
- 53.6 deg, intensity 18
- 66.1 deg, intensity 13